Starting from a structure optimized by DFT (GGA+U), the XRD peak list of BaCoSe2O6 was calculated for Cu Kα, 1.54184 Å.
Peak positions follow from Bragg's law for the DFT cell and can differ from measured ones.

Atomic structure:
```
data_BaCoSe2O6
_chemical_formula_sum 'Ba4 Co4 Se8 O24'
_symmetry_space_group_name_H-M 'P n m a'
_symmetry_Int_Tables_number 62
_cell_length_a 15.199
_cell_length_b 5.553
_cell_length_c 7.504
_cell_angle_alpha 90.00
_cell_angle_beta 90.00
_cell_angle_gamma 90.00
loop_
_symmetry_equiv_pos_as_xyz
'x,y,z'
'-x,-y,-z'
'-x+1/2,-y,z+1/2'
'x+1/2,y,-z+1/2'
'x+1/2,-y+1/2,-z+1/2'
'-x+1/2,y+1/2,z+1/2'
'-x,y+1/2,-z'
'x,-y+1/2,z'
loop_
_atom_site_label
_atom_site_fract_x
_atom_site_fract_y
_atom_site_fract_z
_atom_site_occupancy
Ba1 0.116 0.250 0.070 1
Co1 0.125 0.750 0.702 1
Se1 0.016 0.250 0.628 1
Se2 0.231 0.250 0.526 1
O1 0.024 0.010 0.777 1
O2 0.093 0.750 0.432 1
O3 0.157 0.750 0.975 1
O4 0.228 0.007 0.670 1
```

Largest 12 diffraction maxima, in order of rising 2θ, 2θ from 10° to 90°:
19.8°, I = 19, (2 1 0); 21.2°, I = 19, (3 0 1); 24.4°, I = 39, (1 0 2); 26.6°, I = 100, (3 1 1); 29.3°, I = 51, (1 1 2); 30.9°, I = 66, (4 1 1); 31.1°, I = 32, (2 1 2); 31.8°, I = 28, (5 0 1); 32.2°, I = 47, (0 2 0); 35.7°, I = 29, (5 1 1); 45.9°, I = 18, (5 2 1); 46.5°, I = 27, (4 1 3)